(1)
Calculated PXRD pattern of Sr2B2RhO6 for CuKα, from the GGA-PBE geometry in Alexandria.
Kinematic intensities with the Lorentz-polarization factor, no thermal factor.

The 10 most intense peaks (15° ≤ 2θ ≤ 90°), in order of rising 2θ:
two_theta	I (rel.)
20.32	55
28.78	67
32.90	100
34.34	84
45.40	52
48.29	34
58.14	19
60.37	34
60.60	27
72.38	17

Cell and atoms:
Unit cell a=5.2222 b=5.2222 c=17.0496 alpha=90.00 beta=90.00 gamma=120.00
Space group R-3m (No. 166, hexagonal axes)
Symmetry-distinct sites (fractional):
Sr1 0.0000 0.0000 0.2185 [6 per cell]
B1 0.0000 0.0000 0.4178 [6 per cell]
Rh1 0.0000 0.0000 0.0000 [3 per cell]
O1 0.0256 0.5128 0.2462 [18 per cell]

***

(2)
Calculated PXRD pattern of MnI2Br5 for CuKα, from the GGA-PBE geometry in Alexandria.
Kinematic intensities with the Lorentz-polarization factor, no thermal factor.

The 10 most intense peaks (15° ≤ 2θ ≤ 90°), in order of rising 2θ:
two_theta	I (rel.)
19.26	100
24.01	42
24.54	43
28.61	58
34.72	34
37.69	55
38.04	29
45.99	26
47.50	22
51.43	26

Cell and atoms:
Unit cell a=8.825 b=8.825 c=9.215 alpha=90.00 beta=90.00 gamma=90.00
Space group I4 (No. 79)
Symmetry-distinct sites (fractional):
Mn1 0.000 0.000 0.000 [2 per cell]
I1 0.000 0.500 0.439 [4 per cell]
Br1 0.000 0.000 0.258 [2 per cell]
Br2 0.154 0.232 0.932 [8 per cell]

***

(3)
Calculated PXRD pattern of ErTmH for CuKα, from the GGA-PBE geometry in Alexandria.
Kinematic intensities with the Lorentz-polarization factor, no thermal factor.

The 10 most intense peaks (15° ≤ 2θ ≤ 90°), in order of rising 2θ:
two_theta	I (rel.)
31.70	100
36.67	17
36.82	34
52.94	24
53.06	12
62.93	14
63.14	28
66.22	12
86.78	12
89.80	11

Cell and atoms:
Unit cell a=3.452 b=3.452 c=4.902 alpha=90.00 beta=90.00 gamma=90.00
Space group P4/mmm (No. 123)
Symmetry-distinct sites (fractional):
Er1 0.000 0.000 0.000 [1 per cell]
Tm1 0.500 0.500 0.500 [1 per cell]
H1 0.500 0.500 0.000 [1 per cell]

***

(4)
Calculated PXRD pattern of Pa3Ni5Ge2 for CuKα, from the GGA-PBE geometry in Alexandria.
Kinematic intensities with the Lorentz-polarization factor, no thermal factor.

The 10 most intense peaks (15° ≤ 2θ ≤ 90°), in order of rising 2θ:
two_theta	I (rel.)
23.54	35
24.12	41
25.84	71
32.59	36
33.99	57
35.00	91
36.16	99
37.72	67
43.87	41
44.95	100

Cell and atoms:
Unit cell a=10.828 b=11.644 c=5.592 alpha=90.00 beta=90.00 gamma=90.00
Space group Ibam (No. 72)
Symmetry-distinct sites (fractional):
Pa1 0.000 0.000 0.250 [4 per cell]
Pa2 0.180 0.376 0.000 [8 per cell]
Ni1 0.000 0.207 0.250 [8 per cell]
Ni2 0.000 0.500 0.250 [4 per cell]
Ni3 0.097 0.351 0.500 [8 per cell]
Ge1 0.194 0.119 0.000 [8 per cell]

***

(5)
Calculated PXRD pattern of La2B4O9 for CuKα, from the GGA-PBE geometry in Alexandria.
Kinematic intensities with the Lorentz-polarization factor, no thermal factor.

The 10 most intense peaks (15° ≤ 2θ ≤ 90°), in order of rising 2θ:
two_theta	I (rel.)
17.08	41
22.30	42
25.77	40
27.56	58
27.86	44
28.90	100
30.29	47
32.76	31
34.56	35
45.53	43

Cell and atoms:
Unit cell a=6.396 b=6.768 c=7.736 alpha=101.48 beta=96.52 gamma=102.49
Space group P-1 (No. 2)
Symmetry-distinct sites (fractional):
La1 0.043 0.093 0.282 [2 per cell]
La2 0.384 0.679 0.357 [2 per cell]
B1 0.130 0.357 0.658 [2 per cell]
B2 0.163 0.668 0.923 [2 per cell]
B3 0.222 0.334 0.981 [2 per cell]
B4 0.492 0.156 0.183 [2 per cell]
O1 0.008 0.774 0.011 [2 per cell]
O2 0.049 0.533 0.750 [2 per cell]
O3 0.067 0.810 0.434 [2 per cell]
O4 0.256 0.267 0.796 [2 per cell]
O5 0.268 0.560 0.035 [2 per cell]
O6 0.278 0.404 0.531 [2 per cell]
O7 0.318 0.848 0.882 [2 per cell]
O8 0.352 0.275 0.132 [2 per cell]
O9 0.437 0.056 0.316 [2 per cell]

***

(6)
Calculated PXRD pattern of PmYTh4 for CuKα, from the GGA-PBE geometry in Alexandria.
Kinematic intensities with the Lorentz-polarization factor, no thermal factor.

The 10 most intense peaks (15° ≤ 2θ ≤ 90°), in order of rising 2θ:
two_theta	I (rel.)
30.52	100
35.33	34
35.50	17
50.83	12
50.95	24
60.46	30
60.68	14
63.53	13
83.03	12
85.51	12

Cell and atoms:
Unit cell a=3.593 b=3.593 c=15.174 alpha=90.00 beta=90.00 gamma=90.00
Space group P4/mmm (No. 123)
Symmetry-distinct sites (fractional):
Pm1 0.000 0.000 0.000 [1 per cell]
Y1 0.500 0.500 0.500 [1 per cell]
Th1 0.000 0.000 0.332 [2 per cell]
Th2 0.500 0.500 0.171 [2 per cell]